Record 1
Structure and theoretical X-ray diffraction stick pattern of Li4Mn3O7 (a cell relaxed with PBE+U; Cu Kα (λ = 1.5418 Å)).
Lines closer than 0.1° are merged.

Structural model:
abc: 5.080 6.002 8.762
angles: 89.13 85.82 77.30
Space group P-1 (No. 2)
Asymmetric unit:
1 Li 0.000 0.000 0.000 (multiplicity 1)
2 Li 0.000 0.500 0.000 (multiplicity 1)
3 Li 0.149 0.200 0.714 (multiplicity 2)
4 Li 0.287 0.926 0.424 (multiplicity 2)
5 Li 0.418 0.648 0.138 (multiplicity 2)
6 Mn 0.132 0.729 0.720 (multiplicity 2)
7 Mn 0.291 0.426 0.427 (multiplicity 2)
8 Mn 0.436 0.127 0.139 (multiplicity 2)
9 O 0.010 0.258 0.487 (multiplicity 2)
10 O 0.168 0.966 0.209 (multiplicity 2)
11 O 0.172 0.421 0.212 (multiplicity 2)
12 O 0.291 0.688 0.914 (multiplicity 2)
13 O 0.319 0.152 0.934 (multiplicity 2)
14 O 0.415 0.896 0.660 (multiplicity 2)
15 O 0.432 0.402 0.629 (multiplicity 2)

Top 10 peaks for 2θ from 10° to 90°, sorted by position:
index, 2theta, d (Å), intensity
0 1 -1, 18.2, 4.866, 100
-1 1 2, 34.1, 2.632, 16
2 1 0, 36.2, 2.479, 23
-1 2 1, 40.8, 2.212, 33
1 0 4, 44.1, 2.053, 27
2 2 -1, 44.3, 2.044, 27
2 -2 3, 61.4, 1.509, 8
3 0 -2, 61.6, 1.507, 8
0 2 5, 61.9, 1.500, 8
1 4 0, 62.1, 1.496, 8



Record 2
Structure and theoretical X-ray diffraction stick pattern of Li3Mn7O16 (a cell relaxed with PBE+U; Cu Kα (λ = 1.5418 Å)).
Lines closer than 0.1° are merged.

Structural model:
abc: 5.8359 5.8359 28.5301
angles: 90.00 90.00 120.00
Space group R3m (No. 160, hexagonal axes)
Asymmetric unit:
1 Li 0.0000 0.0000 0.0000 (multiplicity 3)
2 Li 0.0000 0.0000 0.1215 (multiplicity 3)
3 Li 0.0000 0.0000 0.5000 (multiplicity 3)
4 Mn 0.0000 0.0000 0.3096 (multiplicity 3)
5 Mn 0.0048 0.5024 0.5595 (multiplicity 9)
6 Mn 0.1701 0.3401 0.3950 (multiplicity 9)
7 O 0.0000 0.0000 0.1913 (multiplicity 3)
8 O 0.0000 0.0000 0.4295 (multiplicity 3)
9 O 0.0000 0.0000 0.6928 (multiplicity 3)
10 O 0.0000 0.0000 0.9293 (multiplicity 3)
11 O 0.0161 0.5080 0.4272 (multiplicity 9)
12 O 0.0424 0.5212 0.9330 (multiplicity 9)
13 O 0.1754 0.3508 0.5271 (multiplicity 9)
14 O 0.1861 0.3721 0.0208 (multiplicity 9)

Top 10 peaks for 2θ from 10° to 90°, sorted by position:
index, 2theta, d (Å), intensity
0 0 6, 18.6, 4.759, 100
2 0 2, 36.1, 2.487, 41
0 0 12, 37.8, 2.381, 6
2 0 8, 43.9, 2.062, 52
0 2 10, 48.1, 1.892, 8
2 0 14, 58.1, 1.587, 18
2 2 0, 63.8, 1.459, 16
0 2 16, 63.9, 1.457, 14
2 2 6, 67.1, 1.395, 11
0 4 8, 80.7, 1.191, 6



Record 3
Structure and theoretical X-ray diffraction stick pattern of Li4Mn3O7 (a cell relaxed with PBE+U; Cu Kα (λ = 1.5418 Å)).
Lines closer than 0.1° are merged.

Structural model:
abc: 6.020 6.530 7.757
angles: 66.20 71.04 75.09
Space group P-1 (No. 2)
Asymmetric unit:
1 Li 0.000 0.000 0.000 (multiplicity 1)
2 Li 0.062 0.137 0.278 (multiplicity 2)
3 Li 0.190 0.407 0.885 (multiplicity 2)
4 Li 0.356 0.710 0.431 (multiplicity 2)
5 Li 0.500 0.000 0.000 (multiplicity 1)
6 Mn 0.138 0.283 0.577 (multiplicity 2)
7 Mn 0.276 0.569 0.144 (multiplicity 2)
8 Mn 0.422 0.859 0.721 (multiplicity 2)
9 O 0.043 0.568 0.623 (multiplicity 2)
10 O 0.124 0.702 0.936 (multiplicity 2)
11 O 0.148 0.826 0.233 (multiplicity 2)
12 O 0.242 0.005 0.523 (multiplicity 2)
13 O 0.325 0.148 0.767 (multiplicity 2)
14 O 0.395 0.282 0.084 (multiplicity 2)
15 O 0.425 0.403 0.370 (multiplicity 2)

Top 10 peaks for 2θ from 10° to 90°, sorted by position:
index, 2theta, d (Å), intensity
1 1 1, 18.3, 4.857, 100
1 0 -2, 33.8, 2.653, 17
1 -1 2, 36.2, 2.483, 11
-1 2 1, 36.3, 2.476, 12
2 1 -1, 40.5, 2.228, 35
0 3 2, 44.3, 2.046, 55
0 1 -4, 61.2, 1.514, 8
-2 2 3, 61.5, 1.507, 16
4 1 2, 61.9, 1.499, 8
2 -3 1, 64.8, 1.439, 7



Record 4
Structure and theoretical X-ray diffraction stick pattern of Li4Mn7O16 (a cell relaxed with PBE+U; Cu Kα (λ = 1.5418 Å)).
Lines closer than 0.1° are merged.

Structural model:
abc: 10.016 11.500 5.190
angles: 90.00 109.42 90.00
Space group C2/m (No. 12)
Asymmetric unit:
1 Li 0.000 0.127 0.000 (multiplicity 4)
2 Li 0.249 0.500 0.009 (multiplicity 4)
3 Mn 0.000 0.244 0.500 (multiplicity 4)
4 Mn 0.000 0.500 0.500 (multiplicity 2)
5 Mn 0.246 0.124 0.506 (multiplicity 8)
6 O 0.119 0.377 0.698 (multiplicity 8)
7 O 0.128 0.134 0.719 (multiplicity 8)
8 O 0.129 0.245 0.294 (multiplicity 8)
9 O 0.133 0.500 0.288 (multiplicity 4)
10 O 0.147 0.000 0.274 (multiplicity 4)

Top 10 peaks for 2θ from 10° to 90°, sorted by position:
index, 2theta, d (Å), intensity
0 0 1, 18.1, 4.894, 100
4 0 -1, 36.3, 2.473, 10
2 4 0, 36.6, 2.456, 20
4 0 -2, 43.5, 2.080, 20
2 4 1, 44.0, 2.057, 39
2 4 2, 57.6, 1.601, 10
2 4 -3, 62.7, 1.482, 10
6 4 -1, 64.6, 1.444, 10
0 8 1, 67.9, 1.380, 8
8 0 0, 81.6, 1.180, 6



Record 5
Structure and theoretical X-ray diffraction stick pattern of Li5Mn6O12 (a cell relaxed with PBE+U; Cu Kα (λ = 1.5418 Å)).
Lines closer than 0.1° are merged.

Structural model:
abc: 6.155 6.554 6.558
angles: 97.76 103.82 111.71
Space group P1 (No. 1)
Asymmetric unit:
1 Li 0.000 0.000 0.000 (multiplicity 1)
2 Li 0.011 0.347 0.341 (multiplicity 1)
3 Li 0.499 0.348 0.343 (multiplicity 1)
4 Li 0.517 0.996 0.990 (multiplicity 1)
5 Li 0.961 0.656 0.668 (multiplicity 1)
6 Mn 0.257 0.512 0.999 (multiplicity 1)
7 Mn 0.264 0.183 0.669 (multiplicity 1)
8 Mn 0.268 0.845 0.337 (multiplicity 1)
9 Mn 0.757 0.508 0.007 (multiplicity 1)
10 Mn 0.760 0.172 0.673 (multiplicity 1)
11 Mn 0.761 0.840 0.344 (multiplicity 1)
12 O 0.091 0.389 0.681 (multiplicity 1)
13 O 0.149 0.757 0.015 (multiplicity 1)
14 O 0.160 0.093 0.354 (multiplicity 1)
15 O 0.365 0.596 0.312 (multiplicity 1)
16 O 0.371 0.270 0.984 (multiplicity 1)
17 O 0.423 0.969 0.658 (multiplicity 1)
18 O 0.654 0.413 0.687 (multiplicity 1)
19 O 0.655 0.756 0.031 (multiplicity 1)
20 O 0.657 0.090 0.359 (multiplicity 1)
21 O 0.862 0.258 0.988 (multiplicity 1)
22 O 0.878 0.599 0.329 (multiplicity 1)
23 O 0.891 0.942 0.660 (multiplicity 1)

Top 10 peaks for 2θ from 10° to 90°, sorted by position:
index, 2theta, d (Å), intensity
0 1 -1, 18.0, 4.915, 100
2 0 0, 33.0, 2.715, 19
0 1 2, 36.0, 2.492, 11
-2 2 1, 36.2, 2.483, 15
2 1 -1, 39.5, 2.283, 31
0 0 3, 44.0, 2.057, 22
2 -3 0, 44.1, 2.051, 22
2 1 2, 60.2, 1.536, 7
-4 2 1, 60.5, 1.530, 7
0 4 -1, 60.9, 1.521, 14



Record 6
Structure and theoretical X-ray diffraction stick pattern of Li4Mn3O8 (a cell relaxed with PBE+U; Cu Kα (λ = 1.5418 Å)).
Lines closer than 0.1° are merged.

Structural model:
abc: 5.7569 5.7569 15.2601
angles: 90.00 90.00 120.00
Space group R-3m (No. 166, hexagonal axes)
Asymmetric unit:
1 Li 0.0000 0.0000 0.0000 (multiplicity 3)
2 Li 0.0000 0.0000 0.1410 (multiplicity 6)
3 Li 0.0000 0.0000 0.5000 (multiplicity 3)
4 Mn 0.0000 0.5000 0.0000 (multiplicity 9)
5 O 0.0000 0.0000 0.2669 (multiplicity 6)
6 O 0.0169 0.5085 0.2639 (multiplicity 18)

Top 10 peaks for 2θ from 10° to 90°, sorted by position:
index, 2theta, d (Å), intensity
0 0 3, 17.4, 5.087, 100
1 0 1, 18.7, 4.739, 21
0 1 2, 21.3, 4.174, 11
1 1 3, 35.8, 2.505, 9
0 2 1, 36.5, 2.460, 30
0 2 4, 43.4, 2.087, 55
0 2 7, 56.0, 1.641, 18
2 0 8, 61.2, 1.515, 16
2 2 0, 64.8, 1.439, 16
2 2 3, 67.7, 1.385, 11